CaTi3P4O14: computed powder diffraction line list (Cu Kα (λ = 1.5418 Å)), based on a crystal structure in the Materials Project, relaxed with PBE.
No peak broadening, texture or thermal motion is included.

Largest 6 diffraction maxima, sorted by position, 15 to 90 degrees two-theta:
d_spacing, I/Imax, index
3.358, 88, 1 0 2
3.142, 100, 2 1 -2
3.070, 73, 1 1 2
3.000, 78, 1 2 1
2.825, 46, 0 1 3
2.447, 50, 0 3 1

Structural model:
Lattice parameters (Å, degrees): 7.607 7.621 9.725 90.00 110.21 90.00
Element x y z (fractional)
Ca1 0.000 0.000 0.000
Ca2 0.000 0.500 0.500
Ti1 0.323 0.152 0.479
Ti2 0.323 0.348 0.979
Ti3 0.500 0.000 0.000
Ti4 0.500 0.500 0.500
Ti5 0.677 0.652 0.021
Ti6 0.677 0.848 0.521
P1 0.089 0.060 0.700
P2 0.089 0.440 0.200
P3 0.371 0.705 0.183
P4 0.371 0.795 0.683
P5 0.629 0.205 0.317
P6 0.629 0.295 0.817
P7 0.911 0.560 0.800
P8 0.911 0.940 0.300
O1 0.112 0.515 0.816
O2 0.112 0.985 0.316
O3 0.122 0.196 0.595
O4 0.122 0.304 0.095
O5 0.170 0.626 0.168
O6 0.170 0.874 0.668
O7 0.202 0.102 0.863
O8 0.202 0.398 0.363
O9 0.319 0.619 0.602
O10 0.319 0.881 0.102
O11 0.464 0.578 0.106
O12 0.464 0.922 0.606
O13 0.479 0.713 0.349
O14 0.479 0.787 0.849
O15 0.521 0.213 0.151
O16 0.521 0.287 0.651
O17 0.536 0.078 0.394
O18 0.536 0.422 0.894
O19 0.681 0.119 0.898
O20 0.681 0.381 0.398
O21 0.798 0.602 0.637
O22 0.798 0.898 0.137
O23 0.830 0.126 0.332
O24 0.830 0.374 0.832
O25 0.878 0.696 0.905
O26 0.878 0.804 0.405
O27 0.888 0.015 0.684
O28 0.888 0.485 0.184